1.
Pr2Pd5Au5: simulated powder XRD pattern (Cu Ka), based on DFT lattice parameters and positions (PBE).
Intensities are scaled so that the largest is 100.

Principal peaks in the range 10° ≤ 2θ ≤ 90°, by angle:
two_theta	I (rel.)
18.7	24
27.0	41
37.9	59
38.2	100
39.1	44
42.9	66
55.6	40
62.1	24
68.5	25
81.9	31

Crystal structure
abc: 4.604 5.481 9.478
angles: 90.00 90.00 90.00
Fractional positions:
Pr 0.000 0.000 0.000
Pr 0.000 0.500 0.500
Pd 0.000 0.000 0.334
Pd 0.000 0.000 0.666
Pd 0.000 0.500 0.163
Pd 0.000 0.500 0.837
Pd 0.500 0.500 0.000
Au 0.500 0.000 0.500
Au 0.500 0.250 0.247
Au 0.500 0.250 0.753
Au 0.500 0.750 0.247
Au 0.500 0.750 0.753

=====

2.
YCuReTc: simulated powder XRD pattern (Cu Ka), based on DFT lattice parameters and positions (PBE).
Intensities are scaled so that the largest is 100.

Principal peaks in the range 10° ≤ 2θ ≤ 90°, by angle:
two_theta	I (rel.)
24.0	16
27.8	2
39.7	100
46.9	9
57.3	17
63.0	4
64.9	1
72.0	33
77.1	3
85.4	11

Crystal structure
abc: 4.546 4.546 4.546
angles: 60.00 60.00 60.00
Fractional positions:
Y 0.000 0.000 0.000
Cu 0.250 0.250 0.250
Re 0.750 0.750 0.750
Tc 0.500 0.500 0.500